For LiIn2MoO6, a structure optimized by DFT (PBE+U) gives the theoretical powder diffraction line list in this record (Cu Kα (weighted mean of Kα1 and Kα2)).
Peak positions follow from Bragg's law for the DFT cell and can differ from measured ones.

Atomic structure:
```
data_LiIn2MoO6
_chemical_formula_sum 'Li1 In2 Mo1 O6'
_symmetry_space_group_name_H-M 'P 4 m m'
_symmetry_Int_Tables_number 99
_symmetry_space_group_name_Hall 'P 4 -2'
_cell_length_a 5.171
_cell_length_b 5.171
_cell_length_c 5.012
_cell_angle_alpha 90.00
_cell_angle_beta 90.00
_cell_angle_gamma 90.00
loop_
_atom_site_label
_atom_site_fract_x
_atom_site_fract_y
_atom_site_fract_z
Li1 0.000 0.000 0.000
In1 0.000 0.500 0.437
Mo1 0.500 0.500 0.025
O1 0.000 0.000 0.610
O2 0.259 0.259 0.167
O3 0.500 0.500 0.659
```

Top 8 peaks for 10 to 80 degrees two-theta, sorted by position:
hkl 1 0 0, 2θ 17.1, d 5.171, intensity 20
hkl 0 0 1, 2θ 17.7, d 5.012, intensity 29
hkl 1 1 1, 2θ 30.3, d 2.954, intensity 100
hkl 2 0 0, 2θ 34.7, d 2.585, intensity 33
hkl 1 1 2, 2θ 43.8, d 2.067, intensity 21
hkl 2 2 0, 2θ 49.9, d 1.828, intensity 22
hkl 2 0 2, 2θ 50.7, d 1.799, intensity 25
hkl 3 1 1, 2θ 59.5, d 1.555, intensity 28